Diffraction record for Tb3Tl3MoO8. The powder diffractogram is computed, not measured: it uses a GGA+U-relaxed structure and Cu Ka.
Neutral-atom scattering factors, no anomalous dispersion.

Peak list (12 most intense, 10 to 90 degrees two-theta, in order of rising 2θ)
17.47 deg, intensity 22; 27.25 deg, intensity 75; 31.29 deg, intensity 46; 31.39 deg, intensity 92; 34.93 deg, intensity 51; 35.36 deg, intensity 100; 47.95 deg, intensity 37; 48.14 deg, intensity 18; 53.06 deg, intensity 32; 56.25 deg, intensity 34; 60.44 deg, intensity 17; 60.88 deg, intensity 16

Structure:
```
data_Tb3Tl3MoO8
_space_group_name_H-M_alt 'P 1'
_space_group_IT_number 1
_cell_length_a 6.9042
_cell_length_b 6.9042
_cell_length_c 7.6371
_cell_angle_alpha 116.58
_cell_angle_beta 116.58
_cell_angle_gamma 59.49
loop_
_space_group_symop_operation_xyz
'x,y,z'
loop_
_atom_site_label
_atom_site_type_symbol
_atom_site_fract_x
_atom_site_fract_y
_atom_site_fract_z
Tb1 Tb 0.0000 0.0000 0.0000
Tb2 Tb 0.0000 0.5000 0.0000
Tb3 Tb 0.5000 0.0000 0.0000
Tl1 Tl 0.0000 0.5000 0.5000
Tl2 Tl 0.5000 0.0000 0.5000
Tl3 Tl 0.5000 0.5000 0.5000
Mo1 Mo 0.5000 0.5000 0.0000
O1 O 0.2213 0.2213 0.1694
O2 O 0.2490 0.7053 0.1627
O3 O 0.2871 0.2871 0.8336
O4 O 0.2947 0.7510 0.8373
O5 O 0.7053 0.2490 0.1627
O6 O 0.7129 0.7129 0.1664
O7 O 0.7510 0.2947 0.8373
O8 O 0.7787 0.7787 0.8306
```